# NdEr3Tl2
Simulated powder XRD pattern, CuKα. Input: DFT lattice parameters and positions (GGA-PBE).
Kinematic intensities with the Lorentz-polarization factor, no thermal factor.

The 10 most intense peaks (2θ from 10° to 90°), in order of rising 2θ:
d = 2.993 Å, I 188, (0 3 1)
d = 2.836 Å, I 597, (1 0 2)
d = 2.816 Å, I 219, (0 2 2)
d = 2.791 Å, I 1000, (1 3 0)
d = 2.728 Å, I 794, (1 1 2)
d = 2.583 Å, I 355, (1 3 1)
d = 2.556 Å, I 597, (2 0 0)
d = 2.383 Å, I 252, (0 3 2)
d = 1.743 Å, I 197, (2 3 2)
d = 1.517 Å, I 190, (3 3 0)

Structure:
Unit cell a=5.112 b=9.994 c=6.818 alpha=90.00 beta=90.00 gamma=90.00
Space group Pmc2_1 (No. 26)
Inequivalent atoms, fractional coordinates:
Nd (0.000, 0.043, 0.000) (multiplicity 2)
Er (0.000, 0.318, 0.619) (multiplicity 2)
Er (0.500, 0.194, 0.279) (multiplicity 2)
Er (0.500, 0.456, 0.906) (multiplicity 2)
Tl (0.000, 0.368, 0.160) (multiplicity 2)
Tl (0.500, 0.139, 0.737) (multiplicity 2)